# 1
# Nb4Ag2O11
Simulated X-ray diffraction stick pattern, Cu Kα X-rays. Input: a DFT-relaxed cell (GGA-PBE, Alexandria).

Largest 6 diffraction maxima, sorted by position, 2θ from 5° to 70°:
2θ (°), I/Imax
28.31, 100.0
30.89, 81.3
31.62, 74.2
32.30, 59.4
50.58, 40.7
52.71, 39.5

Crystal structure
Unit cell a=6.433 b=6.433 c=13.045 alpha=102.99 beta=102.99 gamma=57.33
Positions (direct):
Nb: 0.070 0.930 0.500
Nb: 0.140 0.672 0.738
Nb: 0.279 0.426 0.998
Nb: 0.426 0.279 0.498
Nb: 0.549 0.791 0.985
Nb: 0.672 0.140 0.238
Nb: 0.791 0.549 0.485
Nb: 0.930 0.070 0.000
Ag: 0.016 0.465 0.234
Ag: 0.347 0.811 0.247
Ag: 0.465 0.016 0.734
Ag: 0.811 0.347 0.747
O: 0.078 0.598 0.478
O: 0.095 0.930 0.661
O: 0.148 0.204 0.498
O: 0.204 0.148 0.998
O: 0.265 0.432 0.847
O: 0.281 0.757 0.030
O: 0.396 0.411 0.157
O: 0.411 0.396 0.657
O: 0.419 0.709 0.503
O: 0.432 0.265 0.347
O: 0.474 0.730 0.839
O: 0.598 0.078 0.978
O: 0.627 0.881 0.164
O: 0.649 0.931 0.499
O: 0.709 0.419 0.003
O: 0.730 0.474 0.339
O: 0.757 0.281 0.530
O: 0.881 0.627 0.664
O: 0.930 0.095 0.161
O: 0.931 0.649 0.999
O: 0.945 0.947 0.850
O: 0.947 0.945 0.350


# 2
# Nb2AgPtO8
Simulated X-ray diffraction stick pattern, Cu Kα X-rays. Input: a DFT-relaxed cell (GGA-PBE, Alexandria).

Largest 6 diffraction maxima, sorted by position, 2θ from 5° to 70°:
2θ (°), I/Imax
26.39, 58.7
26.61, 55.2
33.35, 100.0
37.83, 25.9
51.18, 40.2
51.43, 36.2

Crystal structure
Unit cell a=4.756 b=4.756 c=6.513 alpha=90.00 beta=90.00 gamma=90.47
Positions (direct):
Nb: 0.000 0.000 0.247
Nb: 0.000 0.000 0.753
Ag: 0.500 0.500 0.000
Pt: 0.500 0.500 0.500
O: 0.184 0.816 0.000
O: 0.199 0.801 0.500
O: 0.289 0.289 0.283
O: 0.289 0.289 0.717
O: 0.711 0.711 0.283
O: 0.711 0.711 0.717
O: 0.801 0.199 0.500
O: 0.816 0.184 0.000


# 3
# TaNbAg2O6
Simulated X-ray diffraction stick pattern, Cu Kα X-rays. Input: a DFT-relaxed cell (GGA-PBE, Alexandria).

Largest 6 diffraction maxima, sorted by position, 2θ from 5° to 70°:
2θ (°), I/Imax
31.44, 20.3
31.83, 100.0
45.35, 21.3
56.21, 14.5
56.71, 24.5
66.51, 15.2

Crystal structure
Unit cell a=5.691 b=15.818 c=5.622 alpha=90.00 beta=90.00 gamma=90.00
Positions (direct):
Ta: 0.023 0.125 0.256
Ta: 0.477 0.625 0.744
Ta: 0.523 0.375 0.744
Ta: 0.977 0.875 0.256
Nb: 0.025 0.375 0.255
Nb: 0.475 0.875 0.745
Nb: 0.525 0.125 0.745
Nb: 0.975 0.625 0.255
Ag: 0.000 0.000 0.757
Ag: 0.000 0.500 0.757
Ag: 0.020 0.250 0.761
Ag: 0.480 0.750 0.239
Ag: 0.500 0.000 0.243
Ag: 0.500 0.500 0.243
Ag: 0.520 0.250 0.239
Ag: 0.980 0.750 0.761
O: 0.000 0.000 0.194
O: 0.000 0.500 0.192
O: 0.020 0.751 0.303
O: 0.208 0.111 0.539
O: 0.210 0.389 0.539
O: 0.217 0.861 0.963
O: 0.218 0.639 0.958
O: 0.282 0.139 0.042
O: 0.283 0.361 0.037
O: 0.290 0.889 0.461
O: 0.292 0.611 0.461
O: 0.480 0.251 0.697
O: 0.500 0.000 0.808
O: 0.500 0.500 0.806
O: 0.520 0.749 0.697
O: 0.708 0.389 0.461
O: 0.710 0.111 0.461
O: 0.717 0.639 0.037
O: 0.718 0.861 0.042
O: 0.782 0.361 0.958
O: 0.783 0.139 0.963
O: 0.790 0.611 0.539
O: 0.792 0.889 0.539
O: 0.980 0.249 0.303